1.
# Hf2Bi
Simulated X-ray powder pattern, Cu Kα (weighted mean of Kα1 and Kα2). Input: a cell relaxed with GGA-PBE.
Kinematic intensities with the Lorentz-polarization factor, no thermal factor.

Atomic structure:
```
6
Lattice="6.0589 -1.8868 0.0000 6.0589 1.8868 0.0000 -2.3494 0.0000 6.2393" Properties=species:S:1:pos:R:3 pbc="T T T"
Hf -0.5126 0.0000 1.4668
Hf 1.9338 0.0000 5.6793
Hf 7.8345 0.0000 0.5600
Hf 10.2810 0.0000 4.7725
Bi 3.2382 0.0000 2.4429
Bi 6.5301 0.0000 3.7965
```

Most intense lines, 2θ = 10–80°, by intensity:
2θ (°), I/Imax
33.6, 100
36.0, 78
34.4, 41
37.5, 37
48.2, 19
48.1, 19
62.6, 17
63.6, 16
60.6, 16
59.5, 15

=====

2.
# CrSi7N10
Simulated X-ray powder pattern, Cu Kα (weighted mean of Kα1 and Kα2). Input: a cell relaxed with GGA-PBE.
Kinematic intensities with the Lorentz-polarization factor, no thermal factor.

Atomic structure:
```
36
Lattice="6.7359 0.0000 0.0000 0.0000 6.9053 0.0000 -2.3729 0.0000 9.4159" Properties=species:S:1:pos:R:3 pbc="T T T"
Cr 0.0000 0.5458 0.0000
Cr -1.1865 6.3595 4.7080
Si -0.9111 2.7533 8.6734
Si 0.2753 4.1520 3.9654
Si 1.9598 2.5991 2.1739
Si 0.7734 4.3061 6.8819
Si 0.8101 0.1349 8.1997
Si 1.9966 6.7704 3.4917
Si 2.4831 2.5539 5.0387
Si 3.6695 4.3513 0.3307
Si 3.7440 0.1360 1.6363
Si 2.5576 6.7693 6.3442
Si 2.9455 2.5250 7.8857
Si 4.1320 4.3802 3.1778
Si 5.8296 2.6188 1.4845
Si 4.6431 4.2865 6.1925
N 0.3324 2.9475 2.6766
N -0.8541 3.9578 7.3845
N -0.5839 1.0965 8.3648
N 0.6025 5.8088 3.6569
N 2.2650 3.3973 0.6762
N 1.0786 3.5079 5.3841
N 2.2008 0.9061 2.0794
N 1.0143 5.9992 6.7873
N 2.2793 0.8438 4.9208
N 3.4658 6.0614 0.2128
N 2.9473 3.1885 3.4889
N 1.7608 3.7168 8.1968
N 2.3621 0.9187 7.7578
N 3.5486 5.9866 3.0498
N 3.6107 2.9016 6.3214
N 4.7972 4.0036 1.6134
N 5.1731 1.0403 1.4292
N 3.9866 5.8650 6.1371
N 4.1267 2.6174 9.2005
N 5.3132 4.2878 4.4925
```

Most intense lines, 2θ = 10–80°, by intensity:
2θ (°), I/Imax
19.4, 100
15.9, 74
25.8, 72
29.7, 44
32.0, 36
29.0, 34
31.3, 28
37.0, 27
39.6, 25
37.1, 24